Entry 1:
Starting from a crystal structure in Alexandria, relaxed with PBE, the powder diffractogram of Th4AuC was simulated for Cu Kα, 1.54184 Å.
No peak broadening, texture or thermal motion is included.

Crystal structure
Unit cell a=8.3684 b=14.5158 c=6.3759 alpha=90.00 beta=121.86 gamma=90.00
Space group C2/c (No. 15)
Symmetry-distinct sites (fractional):
Th (0.1427, 0.2009, 0.1600) (multiplicity 8)
Th (0.2234, 0.0511, 0.7128) (multiplicity 8)
Au (0.0000, 0.3852, 0.7500) (multiplicity 4)
C (0.0000, 0.0633, 0.2500) (multiplicity 4)

The 12 most intense peaks (2θ from 5° to 70°), in order of rising 2θ:
Position (°2θ), I/Imax, index
24.8, 19, 2 2 -1
29.1, 51, 2 0 -2
29.6, 75, 0 4 1
31.5, 38, 1 3 1
32.8, 100, 2 4 -1
33.1, 35, 0 0 2
33.3, 22, 1 5 0
35.3, 21, 2 4 0
38.5, 16, 3 1 0
39.0, 19, 2 2 1
49.7, 28, 2 4 -3
59.1, 20, 2 8 -2

=====

Entry 2:
Starting from a crystal structure in Alexandria, relaxed with PBE, the powder diffractogram of CsCeGeSe4 was simulated for Cu Kα, 1.54184 Å.
No peak broadening, texture or thermal motion is included.

Crystal structure
Unit cell a=6.9095 b=7.1193 c=9.9443 alpha=90.00 beta=108.45 gamma=90.00
Space group P2_1/m (No. 11)
Symmetry-distinct sites (fractional):
Cs (0.2436, 0.2500, 0.4387) (multiplicity 2)
Ce (0.2683, 0.2500, 0.9502) (multiplicity 2)
Ge (0.2864, 0.7500, 0.1688) (multiplicity 2)
Se (0.0778, 0.7500, 0.9277) (multiplicity 2)
Se (0.0854, 0.7500, 0.3216) (multiplicity 2)
Se (0.4840, 0.5105, 0.7961) (multiplicity 4)

The 12 most intense peaks (2θ from 5° to 70°), in order of rising 2θ:
Position (°2θ), I/Imax, index
9.4, 88, 0 0 1
25.0, 66, 0 2 0
26.5, 46, 1 0 2
27.8, 68, 2 0 -2
28.5, 57, 1 2 0
29.4, 100, 1 1 2
30.6, 73, 2 1 -2
31.5, 56, 0 2 2
31.8, 50, 1 2 -2
36.2, 36, 1 0 -4
37.3, 65, 2 2 0
46.9, 38, 1 3 2

=====

Entry 3:
Starting from a crystal structure in Alexandria, relaxed with PBE, the powder diffractogram of LaPm2PrHo was simulated for Cu Kα, 1.54184 Å.
No peak broadening, texture or thermal motion is included.

Crystal structure
Unit cell a=9.1105 b=6.5037 c=6.4896 alpha=90.00 beta=108.90 gamma=90.00
Space group P2/c (No. 13)
Symmetry-distinct sites (fractional):
La (0.0000, 0.0000, 0.0000) (multiplicity 2)
Pm (0.3165, 0.3246, 0.1614) (multiplicity 4)
Pr (0.5000, 0.1618, 0.7500) (multiplicity 2)
Ho (0.0000, 0.4891, 0.7500) (multiplicity 2)

The 12 most intense peaks (2θ from 5° to 70°), in order of rising 2θ:
Position (°2θ), I/Imax, index
20.6, 38, 2 0 0
27.5, 55, 1 0 -2
29.4, 100, 1 2 0
31.1, 87, 3 0 0
31.3, 54, 1 2 -1
32.1, 63, 2 1 1
32.2, 34, 0 1 2
32.9, 83, 3 1 -1
34.6, 43, 2 2 0
36.8, 62, 1 1 2
37.9, 59, 3 1 -2
60.1, 36, 2 3 2

=====

Entry 4:
Starting from a crystal structure in Alexandria, relaxed with PBE, the powder diffractogram of P2OsCl12 was simulated for Cu Kα, 1.54184 Å.
No peak broadening, texture or thermal motion is included.

Crystal structure
Unit cell a=6.8155 b=7.1516 c=12.1631 alpha=75.50 beta=89.54 gamma=63.00
Space group P-1 (No. 2)
Symmetry-distinct sites (fractional):
P (0.2343, 0.4674, 0.2837) (multiplicity 2)
Os (0.5000, 0.0000, 0.0000) (multiplicity 1)
Cl (0.0324, 0.7119, 0.3545) (multiplicity 2)
Cl (0.0843, 0.2697, 0.3132) (multiplicity 2)
Cl (0.1222, 0.2112, 0.9878) (multiplicity 2)
Cl (0.4436, 0.7730, 0.9144) (multiplicity 2)
Cl (0.4939, 0.7087, 0.5930) (multiplicity 2)
Cl (0.4987, 0.7886, 0.1769) (multiplicity 2)

The 12 most intense peaks (2θ from 5° to 70°), in order of rising 2θ:
Position (°2θ), I/Imax, index
7.6, 100, 0 0 1
14.4, 33, 0 1 1
14.7, 25, 1 0 0
15.1, 52, 1 1 0
17.4, 43, 1 0 1
17.8, 71, 0 1 2
18.1, 32, 0 1 -1
19.8, 48, 1 0 -2
22.8, 29, 0 0 3
29.3, 20, 1 1 -3
29.7, 29, 2 0 0
40.2, 20, 1 3 3

=====

Entry 5:
Starting from a crystal structure in Alexandria, relaxed with PBE, the powder diffractogram of RuSeS2 was simulated for Cu Kα, 1.54184 Å.
No peak broadening, texture or thermal motion is included.

Crystal structure
Unit cell a=6.2795 b=6.2795 c=8.3296 alpha=90.00 beta=90.00 gamma=90.00
Space group I-42d (No. 122)
Symmetry-distinct sites (fractional):
Ru (0.0000, 0.0000, 0.0000) (multiplicity 4)
Se (0.0000, 0.0000, 0.5000) (multiplicity 4)
S (0.1916, 0.2500, 0.1250) (multiplicity 8)

The 12 most intense peaks (2θ from 5° to 70°), in order of rising 2θ:
Position (°2θ), I/Imax, index
17.7, 8, 1 0 1
28.4, 22, 2 0 0
29.4, 100, 1 1 2
40.6, 29, 2 2 0
43.5, 3, 0 0 4
50.9, 40, 3 1 2
52.7, 28, 2 0 4
53.8, 2, 3 2 1
58.8, 8, 4 0 0
61.0, 6, 2 2 4
66.6, 6, 4 2 0
67.1, 8, 3 3 2

=====

Entry 6:
Starting from a crystal structure in Alexandria, relaxed with PBE, the powder diffractogram of Gd2CoNi3 was simulated for Cu Kα, 1.54184 Å.
No peak broadening, texture or thermal motion is included.

Crystal structure
Unit cell a=3.9588 b=3.9588 c=7.7684 alpha=90.00 beta=90.00 gamma=120.00
Space group P-6m2 (No. 187)
Symmetry-distinct sites (fractional):
Gd (0.0000, 0.0000, 0.2468) (multiplicity 2)
Co (0.3333, 0.6667, 0.0000) (multiplicity 1)
Ni (0.3333, 0.6667, 0.5000) (multiplicity 1)
Ni (0.6667, 0.3333, 0.0000) (multiplicity 1)
Ni (0.6667, 0.3333, 0.5000) (multiplicity 1)

The 10 most intense peaks (2θ from 5° to 70°), in order of rising 2θ:
Position (°2θ), I/Imax, index
22.9, 1, 0 0 2
26.0, 18, 1 0 0
34.9, 100, 1 0 2
45.8, 38, 1 1 0
46.8, 12, 0 0 4
51.8, 1, 1 1 2
53.5, 3, 2 0 0
54.3, 5, 1 0 4
58.9, 22, 2 0 2
67.6, 23, 1 1 4